[1]
Diffraction record for C. The powder XRD pattern is simulated, not measured: it uses a DFT-relaxed cell (PBE, the Materials Project) and a wavelength of 1.5418 Å.
Lines closer than 0.1° are merged.

Atomic structure:
```
data_C
_cell_length_a 14.023
_cell_length_b 14.023
_cell_length_c 14.023
_cell_angle_alpha 90.00
_cell_angle_beta 90.00
_cell_angle_gamma 90.00
_symmetry_space_group_name_H-M 'F m -3'
_symmetry_Int_Tables_number 202
_symmetry_space_group_name_Hall '-F 2 2 3'
loop_
_atom_site_label
_atom_site_fract_x
_atom_site_fract_y
_atom_site_fract_z
_atom_site_occupancy
C1 0.000 0.050 0.249 1
C2 0.052 0.185 0.164 1
C3 0.084 0.102 0.216 1
```

Largest 10 diffraction maxima, low angle first, 2θ = 5–70°:
d = 8.096 Å, 2θ 10.93, I = 83, hkl 1 1 1
d = 4.958 Å, 2θ 17.89, I = 100, hkl 2 2 0
d = 4.228 Å, 2θ 21.01, I = 66, hkl 3 1 1
d = 4.048 Å, 2θ 21.96, I = 9, hkl 2 2 2
d = 3.217 Å, 2θ 27.73, I = 6, hkl 3 3 1
d = 3.136 Å, 2θ 28.46, I = 13, hkl 4 2 0
d = 2.863 Å, 2θ 31.25, I = 10, hkl 4 2 2
d = 2.699 Å, 2θ 33.20, I = 17, hkl 3 3 3
d = 1.964 Å, 2θ 46.23, I = 5, hkl 7 1 1
d = 1.874 Å, 2θ 48.58, I = 12, hkl 6 4 2



[2]
Diffraction record for C. The powder XRD pattern is simulated, not measured: it uses a DFT-relaxed cell (PBE, the Materials Project) and a wavelength of 1.5418 Å.
Lines closer than 0.1° are merged.

Atomic structure:
```
data_C
_cell_length_a 4.255
_cell_length_b 8.771
_cell_length_c 2.515
_cell_angle_alpha 90.00
_cell_angle_beta 90.00
_cell_angle_gamma 90.00
_symmetry_space_group_name_H-M 'C m m m'
_symmetry_Int_Tables_number 65
_symmetry_space_group_name_Hall '-C 2 2'
loop_
_atom_site_label
_atom_site_fract_x
_atom_site_fract_y
_atom_site_fract_z
_atom_site_occupancy
C1 0.184 0.089 0.000 1
C2 0.185 0.333 0.500 1
```

Largest 10 diffraction maxima, low angle first, 2θ = 5–70°:
d = 3.828 Å, 2θ 23.23, I = 17, hkl 1 1 0
d = 2.410 Å, 2θ 37.32, I = 21, hkl 1 3 0
d = 2.193 Å, 2θ 41.17, I = 73, hkl 0 4 0
d = 2.182 Å, 2θ 41.39, I = 100, hkl 0 2 1
d = 2.128 Å, 2θ 42.49, I = 96, hkl 2 0 0
d = 2.102 Å, 2θ 43.04, I = 57, hkl 1 1 1
d = 1.740 Å, 2θ 52.60, I = 17, hkl 1 3 1
d = 1.622 Å, 2θ 56.76, I = 11, hkl 1 5 0
d = 1.527 Å, 2θ 60.65, I = 15, hkl 2 4 0
d = 1.523 Å, 2θ 60.81, I = 20, hkl 2 2 1



[3]
Diffraction record for C. The powder XRD pattern is simulated, not measured: it uses a DFT-relaxed cell (PBE, the Materials Project) and a wavelength of 1.5418 Å.
Lines closer than 0.1° are merged.

Atomic structure:
```
data_C
_cell_length_a 2.4664
_cell_length_b 2.4664
_cell_length_c 24.8478
_cell_angle_alpha 90.00
_cell_angle_beta 90.00
_cell_angle_gamma 120.00
_symmetry_space_group_name_H-M 'R -3 m'
_symmetry_Int_Tables_number 166
_symmetry_space_group_name_Hall '-R 3 2"'
loop_
_atom_site_label
_atom_site_fract_x
_atom_site_fract_y
_atom_site_fract_z
_atom_site_occupancy
C1 0.0000 0.0000 0.0872 1
C2 0.0000 0.0000 0.2462 1
```

Largest 10 diffraction maxima, low angle first, 2θ = 5–70°:
d = 8.283 Å, 2θ 10.68, I = 3, hkl 0 0 3
d = 4.141 Å, 2θ 21.46, I = 100, hkl 0 0 6
d = 2.128 Å, 2θ 42.48, I = 6, hkl 1 0 1
d = 2.105 Å, 2θ 42.97, I = 2, hkl 0 1 2
d = 2.071 Å, 2θ 43.72, I = 8, hkl 0 0 12
d = 1.962 Å, 2θ 46.26, I = 3, hkl 0 1 5
d = 1.830 Å, 2θ 49.82, I = 4, hkl 1 0 7
d = 1.760 Å, 2θ 51.96, I = 1, hkl 0 1 8
d = 1.424 Å, 2θ 65.54, I = 1, hkl 1 0 13
d = 1.380 Å, 2θ 67.90, I = 1, hkl 0 0 18



[4]
Diffraction record for C. The powder XRD pattern is simulated, not measured: it uses a DFT-relaxed cell (PBE, the Materials Project) and a wavelength of 1.5418 Å.
Lines closer than 0.1° are merged.

Atomic structure:
```
data_C
_cell_length_a 2.5199
_cell_length_b 2.5199
_cell_length_c 8.3074
_cell_angle_alpha 90.00
_cell_angle_beta 90.00
_cell_angle_gamma 120.00
_symmetry_space_group_name_H-M 'P 63/m m c'
_symmetry_Int_Tables_number 194
_symmetry_space_group_name_Hall '-P 6c 2c'
loop_
_atom_site_label
_atom_site_fract_x
_atom_site_fract_y
_atom_site_fract_z
_atom_site_occupancy
C1 0.0000 0.0000 0.0930 1
C2 0.3333 0.6667 0.1555 1
```

Largest 6 diffraction maxima, low angle first, 2θ = 5–70°:
d = 2.182 Å, 2θ 41.37, I = 28, hkl 1 0 0
d = 2.111 Å, 2θ 42.84, I = 100, hkl 1 0 1
d = 2.077 Å, 2θ 43.58, I = 60, hkl 0 0 4
d = 1.932 Å, 2θ 47.04, I = 45, hkl 1 0 2
d = 1.714 Å, 2θ 53.46, I = 3, hkl 1 0 3
d = 1.504 Å, 2θ 61.65, I = 5, hkl 1 0 4



[5]
Diffraction record for C. The powder XRD pattern is simulated, not measured: it uses a DFT-relaxed cell (PBE, the Materials Project) and a wavelength of 1.5418 Å.
Lines closer than 0.1° are merged.

Atomic structure:
```
data_C
_cell_length_a 2.4678
_cell_length_b 2.4678
_cell_length_c 25.8292
_cell_angle_alpha 90.00
_cell_angle_beta 90.00
_cell_angle_gamma 120.00
_symmetry_space_group_name_H-M 'P -3 m 1'
_symmetry_Int_Tables_number 164
_symmetry_space_group_name_Hall '-P 3 2"'
loop_
_atom_site_label
_atom_site_fract_x
_atom_site_fract_y
_atom_site_fract_z
_atom_site_occupancy
C1 0.0000 0.0000 0.0712 1
C2 0.3333 0.6667 0.9288 1
```

Largest 10 diffraction maxima, low angle first, 2θ = 5–70°:
d = 12.915 Å, 2θ 6.84, I = 100, hkl 0 0 2
d = 8.610 Å, 2θ 10.27, I = 5, hkl 0 0 3
d = 6.457 Å, 2θ 13.71, I = 3, hkl 0 0 4
d = 5.166 Å, 2θ 17.17, I = 12, hkl 0 0 5
d = 4.305 Å, 2θ 20.63, I = 15, hkl 0 0 6
d = 3.690 Å, 2θ 24.12, I = 12, hkl 0 0 7
d = 3.229 Å, 2θ 27.63, I = 6, hkl 0 0 8
d = 2.870 Å, 2θ 31.16, I = 2, hkl 0 0 9
d = 2.074 Å, 2θ 43.64, I = 2, hkl 1 0 3
d = 2.029 Å, 2θ 44.66, I = 1, hkl 0 1 4



[6]
Diffraction record for C. The powder XRD pattern is simulated, not measured: it uses a DFT-relaxed cell (PBE, the Materials Project) and a wavelength of 1.5418 Å.
Lines closer than 0.1° are merged.

Atomic structure:
```
data_C
_cell_length_a 2.467
_cell_length_b 4.275
_cell_length_c 8.028
_cell_angle_alpha 90.00
_cell_angle_beta 90.00
_cell_angle_gamma 90.00
_symmetry_space_group_name_H-M 'C m m e'
_symmetry_Int_Tables_number 67
_symmetry_space_group_name_Hall '-C 2a 2'
loop_
_atom_site_label
_atom_site_fract_x
_atom_site_fract_y
_atom_site_fract_z
_atom_site_occupancy
C1 0.000 0.083 0.240 1
```

Largest 9 diffraction maxima, low angle first, 2θ = 5–70°:
d = 8.028 Å, 2θ 11.02, I = 2, hkl 0 0 1
d = 4.014 Å, 2θ 22.14, I = 100, hkl 0 0 2
d = 2.676 Å, 2θ 33.49, I = 1, hkl 0 0 3
d = 2.137 Å, 2θ 42.29, I = 3, hkl 0 2 0
d = 2.065 Å, 2θ 43.84, I = 10, hkl 1 1 1
d = 2.007 Å, 2θ 45.18, I = 8, hkl 0 0 4
d = 1.887 Å, 2θ 48.24, I = 3, hkl 0 2 2
d = 1.670 Å, 2θ 54.99, I = 4, hkl 1 1 3
d = 1.463 Å, 2θ 63.60, I = 1, hkl 0 2 4



[7]
Diffraction record for C. The powder XRD pattern is simulated, not measured: it uses a DFT-relaxed cell (PBE, the Materials Project) and a wavelength of 1.5418 Å.
Lines closer than 0.1° are merged.

Atomic structure:
```
data_C
_cell_length_a 2.5259
_cell_length_b 2.5259
_cell_length_c 43.4403
_cell_angle_alpha 90.00
_cell_angle_beta 90.00
_cell_angle_gamma 120.00
_symmetry_space_group_name_H-M 'R -3 m'
_symmetry_Int_Tables_number 166
_symmetry_space_group_name_Hall '-R 3 2"'
loop_
_atom_site_label
_atom_site_fract_x
_atom_site_fract_y
_atom_site_fract_z
_atom_site_occupancy
C1 0.0000 0.0000 0.0178 1
C2 0.0000 0.0000 0.1726 1
C3 0.0000 0.0000 0.2081 1
C4 0.0000 0.0000 0.2681 1
C5 0.0000 0.0000 0.3037 1
C6 0.0000 0.0000 0.4105 1
C7 0.0000 0.0000 0.4466 1
```

Largest 10 diffraction maxima, low angle first, 2θ = 5–70°:
d = 2.185 Å, 2θ 41.33, I = 4, hkl 1 0 1
d = 2.176 Å, 2θ 41.49, I = 15, hkl 0 1 2
d = 2.144 Å, 2θ 42.14, I = 43, hkl 1 0 4
d = 2.121 Å, 2θ 42.62, I = 53, hkl 0 1 5
d = 2.069 Å, 2θ 43.76, I = 100, hkl 0 0 21
d = 2.063 Å, 2θ 43.89, I = 96, hkl 1 0 7
d = 2.029 Å, 2θ 44.66, I = 46, hkl 0 1 8
d = 1.954 Å, 2θ 46.48, I = 22, hkl 1 0 10
d = 1.914 Å, 2θ 47.52, I = 12, hkl 0 1 11
d = 1.361 Å, 2θ 69.03, I = 6, hkl 1 0 25